No. 1
For CsMg14TiO16, DFT lattice parameters and positions (GGA-PBE) gives the theoretical PXRD pattern in this record (Cu Ka).

The 6 most intense peaks (2θ from 10° to 90°), low angle first:
2θ = 10.04°, intensity 65.8
2θ = 35.06°, intensity 70.6
2θ = 40.05°, intensity 100.0
2θ = 40.88°, intensity 89.1
2θ = 41.16°, intensity 88.5
2θ = 58.78°, intensity 54.4

Structure:
Cell: 4.502 8.773 8.830 Å, 90.00 90.00 90.00°
Fractional positions:
Cs (0.000, 0.000, 0.000)
Mg (0.000, 0.000, 0.500)
Mg (0.000, 0.251, 0.262)
Mg (0.000, 0.251, 0.738)
Mg (0.000, 0.500, 0.500)
Mg (0.000, 0.749, 0.262)
Mg (0.000, 0.749, 0.738)
Mg (0.500, 0.000, 0.262)
Mg (0.500, 0.000, 0.738)
Mg (0.500, 0.251, 0.500)
Mg (0.500, 0.255, 0.000)
Mg (0.500, 0.500, 0.253)
Mg (0.500, 0.500, 0.747)
Mg (0.500, 0.745, 0.000)
Mg (0.500, 0.749, 0.500)
Ti (0.000, 0.500, 0.000)
O (0.000, 0.000, 0.287)
O (0.000, 0.000, 0.713)
O (0.000, 0.261, 0.500)
O (0.000, 0.287, 0.000)
O (0.000, 0.500, 0.254)
O (0.000, 0.500, 0.746)
O (0.000, 0.713, 0.000)
O (0.000, 0.739, 0.500)
O (0.500, 0.000, 0.000)
O (0.500, 0.000, 0.500)
O (0.500, 0.250, 0.248)
O (0.500, 0.250, 0.752)
O (0.500, 0.500, 0.000)
O (0.500, 0.500, 0.500)
O (0.500, 0.750, 0.248)
O (0.500, 0.750, 0.752)

No. 2
For CsYMg14O16, DFT lattice parameters and positions (GGA-PBE) gives the theoretical PXRD pattern in this record (Cu Ka).

The 6 most intense peaks (2θ from 10° to 90°), low angle first:
2θ = 14.11°, intensity 38.4
2θ = 24.16°, intensity 32.7
2θ = 34.72°, intensity 47.1
2θ = 39.61°, intensity 56.5
2θ = 40.66°, intensity 100.0
2θ = 58.06°, intensity 62.3

Structure:
Cell: 8.877 8.877 4.551 Å, 90.00 90.00 90.00°
Fractional positions:
Cs (0.000, 0.000, 0.000)
Y (0.500, 0.500, 0.000)
Mg (0.000, 0.258, 0.500)
Mg (0.000, 0.500, 0.000)
Mg (0.000, 0.742, 0.500)
Mg (0.237, 0.500, 0.500)
Mg (0.246, 0.246, 0.000)
Mg (0.246, 0.754, 0.000)
Mg (0.258, 0.000, 0.500)
Mg (0.500, 0.000, 0.000)
Mg (0.500, 0.237, 0.500)
Mg (0.500, 0.763, 0.500)
Mg (0.742, 0.000, 0.500)
Mg (0.754, 0.246, 0.000)
Mg (0.754, 0.754, 0.000)
Mg (0.763, 0.500, 0.500)
O (0.000, 0.000, 0.500)
O (0.000, 0.286, 0.000)
O (0.000, 0.500, 0.500)
O (0.000, 0.714, 0.000)
O (0.248, 0.500, 0.000)
O (0.251, 0.251, 0.500)
O (0.251, 0.749, 0.500)
O (0.286, 0.000, 0.000)
O (0.500, 0.000, 0.500)
O (0.500, 0.248, 0.000)
O (0.500, 0.500, 0.500)
O (0.500, 0.752, 0.000)
O (0.714, 0.000, 0.000)
O (0.749, 0.251, 0.500)
O (0.749, 0.749, 0.500)
O (0.752, 0.500, 0.000)

No. 3
For CsYMg14O16, DFT lattice parameters and positions (GGA-PBE) gives the theoretical PXRD pattern in this record (Cu Ka).

The 6 most intense peaks (2θ from 10° to 90°), low angle first:
2θ = 10.04°, intensity 74.2
2θ = 34.57°, intensity 84.2
2θ = 39.56°, intensity 100.0
2θ = 39.82°, intensity 99.6
2θ = 40.99°, intensity 90.7
2θ = 57.38°, intensity 59.5

Structure:
Cell: 4.528 8.807 9.112 Å, 90.00 90.00 90.00°
Fractional positions:
Cs (0.000, 0.000, 0.000)
Y (0.000, 0.000, 0.500)
Mg (0.000, 0.262, 0.245)
Mg (0.000, 0.262, 0.755)
Mg (0.000, 0.500, 0.000)
Mg (0.000, 0.500, 0.500)
Mg (0.000, 0.738, 0.245)
Mg (0.000, 0.738, 0.755)
Mg (0.500, 0.000, 0.245)
Mg (0.500, 0.000, 0.755)
Mg (0.500, 0.263, 0.000)
Mg (0.500, 0.263, 0.500)
Mg (0.500, 0.500, 0.249)
Mg (0.500, 0.500, 0.751)
Mg (0.500, 0.737, 0.000)
Mg (0.500, 0.737, 0.500)
O (0.000, 0.000, 0.271)
O (0.000, 0.000, 0.729)
O (0.000, 0.263, 0.500)
O (0.000, 0.288, 0.000)
O (0.000, 0.500, 0.259)
O (0.000, 0.500, 0.741)
O (0.000, 0.712, 0.000)
O (0.000, 0.737, 0.500)
O (0.500, 0.000, 0.000)
O (0.500, 0.000, 0.500)
O (0.500, 0.250, 0.250)
O (0.500, 0.250, 0.750)
O (0.500, 0.500, 0.000)
O (0.500, 0.500, 0.500)
O (0.500, 0.750, 0.250)
O (0.500, 0.750, 0.750)

No. 4
For Cs4MgTi2S6, DFT lattice parameters and positions (GGA-PBE) gives the theoretical PXRD pattern in this record (Cu Ka).

The 6 most intense peaks (2θ from 10° to 90°), low angle first:
2θ = 22.99°, intensity 27.4
2θ = 24.09°, intensity 33.6
2θ = 25.66°, intensity 100.0
2θ = 27.00°, intensity 80.1
2θ = 28.47°, intensity 31.8
2θ = 30.08°, intensity 34.7

Structure:
Cell: 6.806 8.067 8.077 Å, 105.26 94.88 95.01°
Fractional positions:
Cs (0.000, 0.000, 0.000)
Cs (0.086, 0.308, 0.610)
Cs (0.548, 0.958, 0.261)
Cs (0.635, 0.570, 0.568)
Mg (0.315, 0.890, 0.676)
Ti (0.067, 0.543, 0.170)
Ti (0.566, 0.398, 0.026)
S (0.098, 0.798, 0.405)
S (0.317, 0.350, 0.220)
S (0.317, 0.591, 0.977)
S (0.533, 0.161, 0.771)
S (0.816, 0.339, 0.229)
S (0.817, 0.596, 0.970)

No. 5
For Cs4MgTi2S6, DFT lattice parameters and positions (GGA-PBE) gives the theoretical PXRD pattern in this record (Cu Ka).

The 6 most intense peaks (2θ from 10° to 90°), low angle first:
2θ = 21.69°, intensity 97.3
2θ = 22.95°, intensity 99.8
2θ = 24.26°, intensity 100.0
2θ = 26.32°, intensity 92.7
2θ = 28.84°, intensity 85.7
2θ = 33.79°, intensity 88.2

Structure:
Cell: 6.767 6.790 8.762 Å, 89.58 73.40 85.85°
Fractional positions:
Cs (0.000, 0.000, 0.000)
Cs (0.107, 0.441, 0.520)
Cs (0.453, 0.510, 0.769)
Cs (0.739, 0.983, 0.648)
Mg (0.046, 0.488, 0.158)
Ti (0.466, 0.945, 0.311)
Ti (0.598, 0.510, 0.175)
S (0.262, 0.931, 0.570)
S (0.323, 0.731, 0.156)
S (0.354, 0.247, 0.141)
S (0.672, 0.243, 0.343)
S (0.751, 0.717, 0.328)
S (0.879, 0.498, 0.935)

No. 6
For Cs4MgTi2S6, DFT lattice parameters and positions (GGA-PBE) gives the theoretical PXRD pattern in this record (Cu Ka).

The 6 most intense peaks (2θ from 10° to 90°), low angle first:
2θ = 21.75°, intensity 42.4
2θ = 22.65°, intensity 67.0
2θ = 24.53°, intensity 64.8
2θ = 24.83°, intensity 96.3
2θ = 25.71°, intensity 100.0
2θ = 30.60°, intensity 42.6

Structure:
Cell: 8.226 8.226 6.985 Å, 92.70 92.70 113.66°
Fractional positions:
Cs (0.123, 0.475, 0.514)
Cs (0.152, 0.848, 0.000)
Cs (0.475, 0.123, 0.514)
Cs (0.848, 0.152, 0.000)
Mg (0.434, 0.434, 0.207)
Ti (0.598, 0.598, 0.885)
Ti (0.739, 0.739, 0.455)
S (0.337, 0.337, 0.876)
S (0.524, 0.754, 0.186)
S (0.550, 0.798, 0.687)
S (0.754, 0.524, 0.186)
S (0.798, 0.550, 0.687)
S (0.988, 0.988, 0.443)

No. 7
For CsMg6Sb, DFT lattice parameters and positions (GGA-PBE) gives the theoretical PXRD pattern in this record (Cu Ka).

The 6 most intense peaks (2θ from 10° to 90°), low angle first:
2θ = 13.92°, intensity 100.0
2θ = 23.25°, intensity 49.5
2θ = 25.15°, intensity 28.1
2θ = 28.86°, intensity 50.8
2θ = 29.12°, intensity 98.3
2θ = 35.21°, intensity 72.6

Structure:
Cell: 4.264 6.836 17.348 Å, 90.00 90.00 90.00°
Fractional positions:
Cs (0.000, 0.000, 0.000)
Cs (0.000, 0.500, 0.500)
Mg (0.000, 0.000, 0.580)
Mg (0.000, 0.215, 0.299)
Mg (0.000, 0.285, 0.799)
Mg (0.000, 0.500, 0.080)
Mg (0.000, 0.715, 0.799)
Mg (0.000, 0.785, 0.299)
Mg (0.500, 0.000, 0.417)
Mg (0.500, 0.244, 0.170)
Mg (0.500, 0.256, 0.670)
Mg (0.500, 0.500, 0.917)
Mg (0.500, 0.744, 0.670)
Mg (0.500, 0.756, 0.170)
Sb (0.500, 0.000, 0.817)
Sb (0.500, 0.500, 0.317)

No. 8
For CsMg6Si, DFT lattice parameters and positions (GGA-PBE) gives the theoretical PXRD pattern in this record (Cu Ka).

The 6 most intense peaks (2θ from 10° to 90°), low angle first:
2θ = 15.12°, intensity 99.3
2θ = 20.46°, intensity 100.0
2θ = 23.86°, intensity 70.2
2θ = 26.85°, intensity 76.0
2θ = 27.62°, intensity 91.0
2θ = 35.83°, intensity 93.7

Structure:
Cell: 4.834 6.188 18.269 Å, 90.00 90.00 90.00°
Fractional positions:
Cs (0.000, 0.000, 0.000)
Cs (0.000, 0.500, 0.500)
Mg (0.000, 0.248, 0.733)
Mg (0.000, 0.252, 0.233)
Mg (0.000, 0.748, 0.233)
Mg (0.000, 0.752, 0.733)
Mg (0.500, 0.000, 0.181)
Mg (0.500, 0.000, 0.682)
Mg (0.500, 0.246, 0.342)
Mg (0.500, 0.254, 0.842)
Mg (0.500, 0.500, 0.182)
Mg (0.500, 0.500, 0.681)
Mg (0.500, 0.746, 0.842)
Mg (0.500, 0.754, 0.342)
Si (0.000, 0.000, 0.355)
Si (0.000, 0.500, 0.855)

No. 9
For CsMg6Si, DFT lattice parameters and positions (GGA-PBE) gives the theoretical PXRD pattern in this record (Cu Ka).

The 6 most intense peaks (2θ from 10° to 90°), low angle first:
2θ = 13.01°, intensity 74.9
2θ = 24.01°, intensity 49.3
2θ = 24.72°, intensity 57.5
2θ = 26.19°, intensity 54.4
2θ = 31.60°, intensity 68.3
2θ = 33.76°, intensity 100.0

Structure:
Cell: 4.244 7.611 15.200 Å, 90.00 90.00 90.00°
Fractional positions:
Cs (0.000, 0.000, 0.000)
Cs (0.000, 0.500, 0.500)
Mg (0.000, 0.000, 0.484)
Mg (0.000, 0.216, 0.215)
Mg (0.000, 0.284, 0.715)
Mg (0.000, 0.500, 0.984)
Mg (0.000, 0.716, 0.715)
Mg (0.000, 0.784, 0.215)
Mg (0.500, 0.000, 0.654)
Mg (0.500, 0.193, 0.356)
Mg (0.500, 0.307, 0.856)
Mg (0.500, 0.500, 0.154)
Mg (0.500, 0.693, 0.856)
Mg (0.500, 0.807, 0.356)
Si (0.500, 0.000, 0.201)
Si (0.500, 0.500, 0.701)

Question: What is the formula in the fourth record?
Answer: Cs4MgTi2S6